(1)
This entry pairs a crystal structure of Na2B3C with its calculated powder diffractogram. Radiation: Cu Kα (weighted mean of Kα1 and Kα2). Structure: DFT lattice parameters and positions (PBE).
Neutral-atom scattering factors, no anomalous dispersion.

Top 10 peaks for 2θ from 10° to 90°, sorted by position:
| Position (°2θ) | I_rel | (hkl) |
| --- | --- | --- |
| 35.0 | 10.5 | 0 2 0 |
| 35.8 | 17.8 | 1 1 -2 |
| 41.0 | 49.8 | 4 2 0 |
| 41.6 | 100.0 | 3 1 2 |
| 41.9 | 37.5 | 8 0 0 |
| 56.2 | 10.0 | 7 1 2 |
| 63.3 | 17.6 | 1 3 -2 |
| 76.3 | 12.7 | 11 1 2 |
| 78.8 | 17.1 | 7 3 2 |
| 79.5 | 10.5 | 2 2 4 |

Crystal structure
a b c (Å): 17.4842 5.1229 5.7615
angles (deg): 90.00 99.47 90.00
Space group C2 (No. 5)
Symmetry-distinct sites (fractional):
Na  0.1250  0.9999  0.0623
Na  0.1259  0.0000  0.5629
Na  0.1262  0.4979  0.8136
Na  0.1271  0.4989  0.3135
B  0.9998  0.1774  0.2500
B  0.0000  0.6359  0.0000
B  0.0000  0.6357  0.5000
B  0.9997  0.8449  0.2501
B  0.2496  0.1663  0.3738
B  0.2495  0.3188  0.6398
B  0.2499  0.3398  0.1136
C  0.0000  0.3336  0.0000
C  0.0000  0.3336  0.5000
C  0.2497  0.1642  0.8807

(2)
This entry pairs a crystal structure of Nd7Hg3O2 with its calculated powder diffractogram. Radiation: Cu Kα (weighted mean of Kα1 and Kα2). Structure: DFT lattice parameters and positions (PBE).
Neutral-atom scattering factors, no anomalous dispersion.

Top 10 peaks for 2θ from 10° to 90°, sorted by position:
| Position (°2θ) | I_rel | (hkl) |
| --- | --- | --- |
| 31.4 | 100.0 | 1 5 1 |
| 36.0 | 19.1 | 2 0 0 |
| 36.6 | 18.2 | 0 0 2 |
| 36.7 | 17.7 | 0 10 0 |
| 52.3 | 13.1 | 2 0 2 |
| 52.4 | 12.8 | 2 10 0 |
| 61.9 | 14.7 | 3 5 1 |
| 62.7 | 14.2 | 1 5 3 |
| 62.9 | 13.5 | 1 15 1 |
| 65.6 | 13.0 | 2 10 2 |

Crystal structure
a b c (Å): 4.9910 24.4644 4.9124
angles (deg): 90.00 90.00 90.00
Space group Cmmm (No. 65)
Symmetry-distinct sites (fractional):
Nd  0.0000  0.0000  0.0000
Nd  0.0000  0.0993  0.5000
Nd  0.0000  0.2042  0.0000
Nd  0.0000  0.3983  0.0000
Hg  0.0000  0.3022  0.5000
Hg  0.0000  0.5000  0.5000
O  0.0000  0.1022  0.0000

(3)
This entry pairs a crystal structure of Ni12Sb3As with its calculated powder diffractogram. Radiation: Cu Kα (weighted mean of Kα1 and Kα2). Structure: DFT lattice parameters and positions (PBE).
Neutral-atom scattering factors, no anomalous dispersion.

Top 10 peaks for 2θ from 10° to 90°, sorted by position:
| Position (°2θ) | I_rel | (hkl) |
| --- | --- | --- |
| 24.0 | 4.9 | 1 0 0 |
| 24.2 | 2.5 | 0 0 4 |
| 34.3 | 3.9 | 1 0 4 |
| 42.3 | 100.0 | 1 1 4 |
| 49.2 | 32.2 | 2 0 0 |
| 49.5 | 14.8 | 0 0 8 |
| 72.1 | 9.6 | 2 2 0 |
| 72.3 | 17.8 | 2 0 8 |
| 87.3 | 22.7 | 3 1 4 |
| 87.8 | 10.3 | 1 1 12 |

Crystal structure
a b c (Å): 3.7065 3.7065 14.7354
angles (deg): 90.00 90.00 90.00
Space group P4/mmm (No. 123)
Symmetry-distinct sites (fractional):
Ni  0.0000  0.0000  0.0000
Ni  0.0000  0.0000  0.2437
Ni  0.0000  0.0000  0.5000
Ni  0.0000  0.5000  0.1166
Ni  0.0000  0.5000  0.3724
Sb  0.5000  0.5000  0.2452
Sb  0.5000  0.5000  0.5000
As  0.5000  0.5000  0.0000